Entry 1:
# Y2Er5Tl
Calculated powder XRD pattern, Cu Kα (weighted mean of Kα1 and Kα2). Input: a structure optimized by DFT (PBE).
Peak positions follow from Bragg's law for the DFT cell and can differ from measured ones.

Crystal structure
a = 6.968 Å, b = 6.968 Å, c = 6.989 Å
α = 119.89°, β = 119.88°, γ = 90.03°
Space group P1 (No. 1)
Symmetry-distinct sites (fractional):
Y (0.000, 0.000, 0.000) (multiplicity 1)
Y (0.498, 0.499, 0.000) (multiplicity 1)
Er (0.499, 0.000, 0.501) (multiplicity 1)
Er (0.500, 0.500, 0.501) (multiplicity 1)
Er (0.998, 0.000, 0.499) (multiplicity 1)
Er (0.999, 0.500, 0.000) (multiplicity 1)
Er (0.999, 0.500, 0.500) (multiplicity 1)
Tl (0.499, 0.000, 0.000) (multiplicity 1)

Peak list (12 most intense, 2θ from 10° to 90°, low angle first)
2theta	I (rel.)	index
31.38	100	2 0 0
36.24	17	0 0 2
36.47	33	2 2 -2
52.36	24	2 2 0
52.53	12	4 0 -2
62.17	14	2 0 2
62.48	28	4 2 -2
65.49	12	4 0 0
85.69	12	4 2 0
85.97	6	6 0 -2
88.26	6	2 2 2
88.67	6	4 4 -2

=====

Entry 2:
# Y4ErTl2
Calculated powder XRD pattern, Cu Kα (weighted mean of Kα1 and Kα2). Input: a structure optimized by DFT (PBE).
Peak positions follow from Bragg's law for the DFT cell and can differ from measured ones.

Crystal structure
a = 5.3026 Å, b = 5.3026 Å, c = 28.4416 Å
α = 90.00°, β = 90.00°, γ = 120.00°
Space group R-3m (No. 166, hexagonal axes)
Symmetry-distinct sites (fractional):
Y (0.0000, 0.0000, 0.1214) (multiplicity 6)
Y (0.0000, 0.0000, 0.2847) (multiplicity 6)
Er (0.0000, 0.0000, 0.5000) (multiplicity 3)
Tl (0.0000, 0.0000, 0.3952) (multiplicity 6)

Peak list (12 most intense, 2θ from 10° to 90°, low angle first)
2theta	I (rel.)	index
19.58	67	1 0 1
23.06	19	1 0 4
28.24	19	0 0 9
31.83	37	0 1 8
33.81	100	1 1 0
37.18	43	1 0 10
44.61	34	1 1 9
51.13	17	0 2 10
59.24	13	1 2 8
60.48	19	3 0 0
62.71	19	2 1 10
69.22	13	1 1 18

=====

Entry 3:
# Er2ZrTl3
Calculated powder XRD pattern, Cu Kα (weighted mean of Kα1 and Kα2). Input: a structure optimized by DFT (PBE).
Peak positions follow from Bragg's law for the DFT cell and can differ from measured ones.

Crystal structure
a = 3.477 Å, b = 3.477 Å, c = 12.573 Å
α = 90.00°, β = 90.00°, γ = 90.00°
Space group P4/mmm (No. 123)
Symmetry-distinct sites (fractional):
Er (0.000, 0.000, 0.170) (multiplicity 2)
Zr (0.000, 0.000, 0.500) (multiplicity 1)
Tl (0.500, 0.500, 0.000) (multiplicity 1)
Tl (0.500, 0.500, 0.340) (multiplicity 2)

Peak list (12 most intense, 2θ from 10° to 90°, low angle first)
2theta	I (rel.)	index
25.62	3	1 0 0
33.49	100	1 0 3
36.55	40	1 1 0
43.17	12	0 0 6
52.65	14	2 0 0
57.81	21	1 1 6
63.85	32	2 1 3
70.37	12	2 0 6
72.98	10	1 0 9
77.68	5	2 2 0
87.29	7	3 0 3
89.04	7	3 1 0

=====

Entry 4:
# Er4Tm
Calculated powder XRD pattern, Cu Kα (weighted mean of Kα1 and Kα2). Input: a structure optimized by DFT (PBE).
Peak positions follow from Bragg's law for the DFT cell and can differ from measured ones.

Crystal structure
a = 6.051 Å, b = 3.499 Å, c = 14.365 Å
α = 90.00°, β = 97.91°, γ = 90.00°
Space group C2/m (No. 12)
Symmetry-distinct sites (fractional):
Er (0.101, 0.000, 0.300) (multiplicity 4)
Er (0.200, 0.500, 0.100) (multiplicity 4)
Tm (0.000, 0.500, 0.500) (multiplicity 2)

Peak list (12 most intense, 2θ from 10° to 90°, low angle first)
2theta	I (rel.)	index
31.37	100	2 0 1
36.34	34	1 1 3
36.45	17	2 0 -4
52.33	18	0 2 0
52.45	18	2 0 6
62.27	21	3 1 4
62.40	18	1 1 8
65.40	9	4 0 2
85.61	6	5 1 0
85.67	5	4 0 7
88.37	6	4 2 2
88.56	8	3 1 9

=====

Entry 5:
# Er3Tm5
Calculated powder XRD pattern, Cu Kα (weighted mean of Kα1 and Kα2). Input: a structure optimized by DFT (PBE).
Peak positions follow from Bragg's law for the DFT cell and can differ from measured ones.

Crystal structure
a = 3.565 Å, b = 5.519 Å, c = 12.346 Å
α = 90.00°, β = 90.00°, γ = 90.00°
Space group Pmm2 (No. 25)
Symmetry-distinct sites (fractional):
Er (0.000, 0.000, 0.000) (multiplicity 1)
Er (0.000, 0.500, 0.168) (multiplicity 1)
Er (0.500, 0.000, 0.251) (multiplicity 1)
Tm (0.000, 0.000, 0.501) (multiplicity 1)
Tm (0.000, 0.500, 0.668) (multiplicity 1)
Tm (0.500, 0.000, 0.750) (multiplicity 1)
Tm (0.500, 0.500, 0.419) (multiplicity 1)
Tm (0.500, 0.500, 0.917) (multiplicity 1)

Peak list (12 most intense, 2θ from 10° to 90°, low angle first)
2theta	I (rel.)	index
28.92	24	0 0 4
32.44	24	0 2 0
33.26	100	1 1 2
44.01	15	0 2 4
51.26	20	2 0 0
58.39	20	1 3 2
61.99	22	2 2 0
62.48	16	0 1 8
69.82	4	2 2 4
81.38	8	0 3 8
84.96	14	2 1 8
89.92	9	2 4 0

=====

Entry 6:
# Er17Tm2
Calculated powder XRD pattern, Cu Kα (weighted mean of Kα1 and Kα2). Input: a structure optimized by DFT (PBE).
Peak positions follow from Bragg's law for the DFT cell and can differ from measured ones.

Crystal structure
a = 10.9768 Å, b = 10.9768 Å, c = 17.4563 Å
α = 90.00°, β = 90.00°, γ = 120.00°
Space group R-3m (No. 166, hexagonal axes)
Symmetry-distinct sites (fractional):
Er (0.0000, 0.0000, 0.0971) (multiplicity 6)
Er (0.0000, 0.3002, 0.0000) (multiplicity 18)
Er (0.0000, 0.5000, 0.5000) (multiplicity 9)
Er (0.0125, 0.5062, 0.1357) (multiplicity 18)
Tm (0.0000, 0.0000, 0.3210) (multiplicity 6)

Peak list (12 most intense, 2θ from 10° to 90°, low angle first)
2theta	I (rel.)	index
27.75	29	0 2 4
28.16	31	3 0 0
30.73	28	0 0 6
31.80	63	2 0 5
32.17	100	0 3 3
32.63	58	2 2 0
34.90	19	1 1 6
36.19	68	2 2 3
52.43	19	3 3 3
55.55	19	0 3 9
57.71	19	4 2 5
58.23	27	6 0 0

=====

Entry 7:
# Er7Tm3
Calculated powder XRD pattern, Cu Kα (weighted mean of Kα1 and Kα2). Input: a structure optimized by DFT (PBE).
Peak positions follow from Bragg's law for the DFT cell and can differ from measured ones.

Crystal structure
a = 10.6738 Å, b = 10.6738 Å, c = 6.2666 Å
α = 90.00°, β = 90.00°, γ = 120.00°
Space group P6_3mc (No. 186)
Symmetry-distinct sites (fractional):
Er (0.0584, 0.5292, 0.0000) (multiplicity 6)
Er (0.1193, 0.2386, 0.8415) (multiplicity 6)
Er (0.3333, 0.6667, 0.7157) (multiplicity 2)
Tm (0.2104, 0.4208, 0.3548) (multiplicity 6)

Peak list (12 most intense, 2θ from 10° to 90°, low angle first)
2theta	I (rel.)	index
28.49	16	0 0 2
28.98	17	3 0 0
29.27	33	2 1 1
32.38	100	3 0 1
33.58	21	2 2 0
34.58	35	2 0 2
41.09	15	3 0 2
47.34	12	4 1 1
51.36	20	3 3 0
59.78	10	3 3 2
62.03	10	6 0 1
62.40	17	3 2 3

=====

Entry 8:
# Er3Tm
Calculated powder XRD pattern, Cu Kα (weighted mean of Kα1 and Kα2). Input: a structure optimized by DFT (PBE).
Peak positions follow from Bragg's law for the DFT cell and can differ from measured ones.

Crystal structure
a = 3.573 Å, b = 5.528 Å, c = 6.188 Å
α = 90.00°, β = 90.00°, γ = 90.00°
Space group Pmm2 (No. 25)
Symmetry-distinct sites (fractional):
Er (0.000, 0.000, 0.000) (multiplicity 1)
Er (0.000, 0.500, 0.334) (multiplicity 1)
Er (0.500, 0.500, 0.834) (multiplicity 1)
Tm (0.500, 0.000, 0.500) (multiplicity 1)

Peak list (12 most intense, 2θ from 10° to 90°, low angle first)
2theta	I (rel.)	index
28.86	24	0 0 2
32.39	24	0 2 0
33.18	100	1 1 1
43.92	15	0 2 2
51.14	20	2 0 0
58.28	20	1 3 1
61.84	22	2 2 0
62.33	16	0 1 4
69.65	4	2 2 2
81.18	8	0 3 4
84.73	14	2 1 4
89.70	9	2 4 0

=====

Entry 9:
# Er6Tm5
Calculated powder XRD pattern, Cu Kα (weighted mean of Kα1 and Kα2). Input: a structure optimized by DFT (PBE).
Peak positions follow from Bragg's law for the DFT cell and can differ from measured ones.

Crystal structure
a = 9.009 Å, b = 12.797 Å, c = 6.159 Å
α = 90.00°, β = 107.49°, γ = 90.00°
Space group C2/m (No. 12)
Symmetry-distinct sites (fractional):
Er (0.168, 0.000, 0.182) (multiplicity 4)
Er (0.180, 0.134, 0.668) (multiplicity 8)
Tm (0.000, 0.241, 0.000) (multiplicity 4)
Tm (0.000, 0.372, 0.500) (multiplicity 4)
Tm (0.000, 0.500, 0.000) (multiplicity 2)

Peak list (12 most intense, 2θ from 10° to 90°, low angle first)
2theta	I (rel.)	index
29.54	68	1 3 1
31.30	100	2 0 -2
31.85	95	0 4 1
32.02	74	3 1 0
35.58	67	2 4 -1
35.85	55	1 1 2
37.08	38	3 3 -1
53.54	42	2 4 -3
57.64	47	0 8 0
60.04	21	3 7 0
62.47	19	1 7 2
67.05	21	2 8 -2

=====

Entry 10:
# Er7Tm2
Calculated powder XRD pattern, Cu Kα (weighted mean of Kα1 and Kα2). Input: a structure optimized by DFT (PBE).
Peak positions follow from Bragg's law for the DFT cell and can differ from measured ones.

Crystal structure
a = 6.0513 Å, b = 6.0513 Å, c = 8.5695 Å
α = 90.00°, β = 90.00°, γ = 120.00°
Space group P-31m (No. 162)
Symmetry-distinct sites (fractional):
Er (0.0000, 0.0000, 0.0000) (multiplicity 1)
Er (0.0000, 0.3334, 0.6671) (multiplicity 6)
Tm (0.3333, 0.6667, 0.0000) (multiplicity 2)

Peak list (9 most intense, 2θ from 10° to 90°, low angle first)
2theta	I (rel.)	index
31.34	100	1 1 1
36.35	51	2 -1 2
52.35	36	3 0 0
62.30	43	3 0 3
65.40	12	2 2 2
77.19	6	4 -2 4
85.61	9	2 2 5
85.70	9	4 1 1
88.45	17	3 0 6

=====

Entry 11:
# ErTm7
Calculated powder XRD pattern, Cu Kα (weighted mean of Kα1 and Kα2). Input: a structure optimized by DFT (PBE).
Peak positions follow from Bragg's law for the DFT cell and can differ from measured ones.

Crystal structure
a = 9.851 Å, b = 9.851 Å, c = 9.851 Å
α = 90.00°, β = 90.00°, γ = 90.00°
Space group Fm-3m (No. 225)
Symmetry-distinct sites (fractional):
Er (0.000, 0.000, 0.000) (multiplicity 4)
Tm (0.000, 0.000, 0.500) (multiplicity 4)
Tm (0.000, 0.250, 0.250) (multiplicity 24)

Peak list (8 most intense, 2θ from 10° to 90°, low angle first)
2theta	I (rel.)	index
31.46	100	2 2 2
36.48	51	4 0 0
52.55	36	4 4 0
62.54	43	6 2 2
65.66	12	4 4 4
77.52	6	8 0 0
86.03	18	6 6 2
88.84	17	8 4 0

=====

Entry 12:
# Er2Tm13
Calculated powder XRD pattern, Cu Kα (weighted mean of Kα1 and Kα2). Input: a structure optimized by DFT (PBE).
Peak positions follow from Bragg's law for the DFT cell and can differ from measured ones.

Crystal structure
a = 6.472 Å, b = 8.579 Å, c = 8.834 Å
α = 69.20°, β = 84.53°, γ = 80.91°
Space group P-1 (No. 2)
Symmetry-distinct sites (fractional):
Er (0.199, 0.304, 0.398) (multiplicity 2)
Tm (0.000, 0.500, 0.000) (multiplicity 1)
Tm (0.096, 0.926, 0.692) (multiplicity 2)
Tm (0.134, 0.697, 0.267) (multiplicity 2)
Tm (0.238, 0.075, 0.975) (multiplicity 2)
Tm (0.334, 0.499, 0.667) (multiplicity 2)
Tm (0.429, 0.925, 0.359) (multiplicity 2)
Tm (0.466, 0.697, 0.934) (multiplicity 2)

Peak list (12 most intense, 2θ from 10° to 90°, low angle first)
2theta	I (rel.)	index
30.73	27	1 1 -2
32.56	100	1 -2 1
32.61	33	1 3 1
32.86	34	2 1 2
38.13	11	0 1 -3
45.61	18	1 0 4
47.83	15	1 3 -2
52.59	9	-2 1 4
58.48	19	3 -1 3
58.55	9	3 4 3
59.24	15	3 4 0
63.26	20	3 2 -3

=====

Entry 13:
# ErTm4
Calculated powder XRD pattern, Cu Kα (weighted mean of Kα1 and Kα2). Input: a structure optimized by DFT (PBE).
Peak positions follow from Bragg's law for the DFT cell and can differ from measured ones.

Crystal structure
a = 6.036 Å, b = 3.491 Å, c = 14.326 Å
α = 90.00°, β = 97.91°, γ = 90.00°
Space group C2/m (No. 12)
Symmetry-distinct sites (fractional):
Er (0.000, 0.000, 0.000) (multiplicity 2)
Tm (0.101, 0.500, 0.799) (multiplicity 4)
Tm (0.200, 0.000, 0.600) (multiplicity 4)

Peak list (12 most intense, 2θ from 10° to 90°, low angle first)
2theta	I (rel.)	index
31.42	100	2 0 1
31.52	33	0 0 5
36.44	45	1 1 3
36.55	22	2 0 -4
52.47	24	0 2 0
52.60	24	2 0 6
62.44	28	3 1 4
62.58	24	1 1 8
65.59	12	4 0 2
85.93	10	5 1 0
88.63	8	4 2 2
88.85	11	3 1 9

=====

Entry 14:
# Er3Tm2
Calculated powder XRD pattern, Cu Kα (weighted mean of Kα1 and Kα2). Input: a structure optimized by DFT (PBE).
Peak positions follow from Bragg's law for the DFT cell and can differ from measured ones.

Crystal structure
a = 11.496 Å, b = 16.566 Å, c = 6.382 Å
α = 90.00°, β = 90.00°, γ = 90.00°
Space group Fdd2 (No. 43)
Symmetry-distinct sites (fractional):
Er (0.000, 0.000, 0.000) (multiplicity 8)
Er (0.051, 0.398, 0.050) (multiplicity 16)
Tm (0.038, 0.299, 0.582) (multiplicity 16)

Peak list (12 most intense, 2θ from 10° to 90°, low angle first)
2theta	I (rel.)	index
31.12	17	4 0 0
31.40	100	1 5 1
31.69	36	3 3 1
32.08	69	2 0 2
32.99	30	4 2 0
33.91	20	2 2 2
38.59	33	3 5 1
51.68	19	1 5 3
57.17	14	6 2 2
57.76	15	0 0 4
57.94	15	2 10 0
63.25	13	0 10 2